[1]
Diffraction record for AlGa2F2. The X-ray diffraction stick pattern is theoretical, not measured: it uses a cell relaxed with PBE and a wavelength of 1.5418 Å.

Structure:
abc: 7.777 7.777 3.076
angles: 90.00 90.00 90.00
Positions (direct):
Al: 0.000 0.000 0.000
Al: 0.500 0.500 0.000
Ga: 0.235 0.265 0.000
Ga: 0.265 0.765 0.000
Ga: 0.735 0.235 0.000
Ga: 0.765 0.735 0.000
F: 0.116 0.384 0.500
F: 0.384 0.884 0.500
F: 0.616 0.116 0.500
F: 0.884 0.616 0.500

Peak list (8 most intense, 2θ from 15° to 90°, low angle first)
(2 0 0), 22.9°, rel. 100
(2 1 0), 25.6°, rel. 38
(0 0 1), 29.0°, rel. 39
(2 2 0), 32.6°, rel. 94
(2 0 1), 37.3°, rel. 67
(2 2 1), 44.2°, rel. 78
(4 0 1), 56.0°, rel. 52
(4 2 1), 61.2°, rel. 22


[2]
Diffraction record for AlGaF3. The X-ray diffraction stick pattern is theoretical, not measured: it uses a cell relaxed with PBE and a wavelength of 1.5418 Å.

Structure:
abc: 4.088 4.088 4.088
angles: 90.00 90.00 90.00
Positions (direct):
Al: 0.000 0.000 0.000
Ga: 0.500 0.500 0.500
F: 0.000 0.000 0.500
F: 0.000 0.500 0.000
F: 0.500 0.000 0.000

Peak list (8 most intense, 2θ from 15° to 90°, low angle first)
(1 1 0), 30.9°, rel. 100
(1 1 1), 38.1°, rel. 64
(2 0 0), 44.3°, rel. 69
(2 1 1), 55.0°, rel. 40
(2 2 0), 64.5°, rel. 40
(3 1 0), 73.2°, rel. 18
(3 1 1), 77.4°, rel. 17
(3 2 1), 89.8°, rel. 21